Entry 1:
Diffraction record for Ti2NbMo3. The XRD peak list is calculated, not measured: it uses the PBE geometry in Alexandria and Cu Ka.

Structural model:
```
Ti2NbMo3
1.0
3.9021 -6.7045 0.0000
3.9021 6.7045 0.0000
-2.6020 0.0000 3.7201
Ti Nb Mo
4 2 6
Cartesian
1.9505 5.5900 2.7900
3.2516 3.3885 0.9300
1.9505 -3.3885 2.7900
3.2516 -5.5900 0.9300
1.9505 1.1467 2.7900
3.2516 -1.1467 0.9300
0.6500 3.3523 1.8600
1.9514 1.1174 0.0009
0.6504 -1.1174 1.8609
1.9510 -3.3523 0.0000
4.5517 1.1174 1.8592
3.2507 -1.1174 3.7192
```

Principal peaks in the range 2θ from 5° to 70°, low angle first:
| 2θ (°) | d [Å] | Rel. int. |
| --- | --- | --- |
| 15.35 | 5.772 | 5 |
| 27.42 | 3.253 | 2 |
| 27.63 | 3.228 | 2 |
| 27.90 | 3.198 | 4 |
| 28.02 | 3.185 | 8 |
| 36.29 | 2.475 | 1 |
| 39.77 | 2.266 | 100 |
| 40.11 | 2.248 | 65 |
| 40.36 | 2.235 | 32 |
| 49.77 | 1.832 | 2 |
| 57.66 | 1.599 | 11 |
| 57.91 | 1.592 | 21 |



Entry 2:
Diffraction record for Er5Tm2ThSc. The XRD peak list is calculated, not measured: it uses the PBE geometry in Alexandria and Cu Ka.

Structural model:
```
Er5Tm2ThSc
1.0
2.7904 -10.7655 0.0000
2.7904 10.7655 0.0000
0.0000 0.0000 9.3423
Er Tm Th Sc
10 4 2 2
Cartesian
2.7904 10.4931 4.6711
2.7904 4.9754 1.7660
2.7904 4.2271 7.4329
2.7904 2.2576 4.3972
2.7904 0.6367 7.1678
2.7904 -0.6367 2.4966
2.7904 -2.2576 9.0683
2.7904 -4.2271 2.7617
2.7904 -4.9754 6.4372
2.7904 -10.4931 0.0000
2.7904 8.2802 1.8072
2.7904 7.8940 7.5241
2.7904 -7.8940 2.8530
2.7904 -8.2802 6.4784
2.7904 2.1252 0.8294
2.7904 -2.1252 5.5005
2.7904 6.6684 4.6702
2.7904 -6.6684 9.3413
```

Principal peaks in the range 2θ from 5° to 70°, low angle first:
| 2θ (°) | d [Å] | Rel. int. |
| --- | --- | --- |
| 18.99 | 4.674 | 16 |
| 26.61 | 3.350 | 18 |
| 27.84 | 3.205 | 24 |
| 32.08 | 2.790 | 61 |
| 32.51 | 2.754 | 100 |
| 33.22 | 2.697 | 76 |
| 34.66 | 2.588 | 39 |
| 35.29 | 2.543 | 16 |
| 42.16 | 2.144 | 16 |
| 57.46 | 1.604 | 23 |
| 57.91 | 1.592 | 15 |
| 65.51 | 1.425 | 15 |



Entry 3:
Diffraction record for HoGa2Ni2Ge. The XRD peak list is calculated, not measured: it uses the PBE geometry in Alexandria and Cu Ka.

Structural model:
```
HoGa2Ni2Ge
1.0
4.3791 0.0000 0.0000
0.0000 4.3791 0.0000
0.0000 0.0000 5.4712
Ho Ga Ni Ge
1 2 2 1
Cartesian
0.0000 0.0000 0.0000
2.1896 2.1896 1.2941
2.1896 2.1896 4.1771
0.0000 2.1896 2.7356
2.1896 0.0000 2.7356
0.0000 0.0000 2.7356
```

Principal peaks in the range 2θ from 5° to 70°, low angle first:
| 2θ (°) | d [Å] | Rel. int. |
| --- | --- | --- |
| 20.28 | 4.379 | 15 |
| 26.06 | 3.419 | 11 |
| 28.83 | 3.097 | 49 |
| 32.74 | 2.736 | 14 |
| 33.25 | 2.695 | 55 |
| 38.81 | 2.320 | 100 |
| 41.23 | 2.190 | 76 |
| 53.61 | 1.709 | 13 |
| 57.91 | 1.592 | 61 |
| 59.73 | 1.548 | 25 |
| 67.66 | 1.385 | 9 |
| 68.61 | 1.368 | 8 |



Entry 4:
Diffraction record for NaPu5I12. The XRD peak list is calculated, not measured: it uses the PBE geometry in Alexandria and Cu Ka.

Structural model:
```
NaPu5I12
1.0
3.9336 -6.8282 0.0000
3.9336 6.8282 0.0000
-0.0070 0.0000 15.3737
Na Pu I
1 5 12
Cartesian
0.0000 0.0000 0.0000
3.9301 4.5522 7.6868
3.9336 2.2754 0.0000
3.9301 0.0000 7.6868
3.9336 -2.2754 0.0000
3.9301 -4.5522 7.6868
5.2795 -4.4888 1.8225
2.5807 4.4888 13.5512
1.2925 0.0000 5.8485
2.6145 2.2866 9.5234
5.2795 4.4888 1.8225
2.6903 0.0000 13.5496
2.6145 -2.2866 9.5234
5.2457 2.2866 5.8502
5.1699 0.0000 1.8241
2.5807 -4.4888 13.5512
5.2457 -2.2866 5.8502
6.5677 0.0000 9.5251
```

Principal peaks in the range 2θ from 5° to 70°, low angle first:
| 2θ (°) | d [Å] | Rel. int. |
| --- | --- | --- |
| 11.51 | 7.687 | 100 |
| 23.33 | 3.814 | 40 |
| 25.41 | 3.505 | 95 |
| 28.58 | 3.123 | 99 |
| 32.57 | 2.749 | 41 |
| 37.09 | 2.424 | 53 |
| 39.60 | 2.276 | 23 |
| 40.11 | 2.248 | 63 |
| 42.07 | 2.148 | 27 |
| 47.34 | 1.920 | 21 |
| 52.20 | 1.752 | 31 |
| 68.75 | 1.365 | 16 |



Entry 5:
Diffraction record for CeHo2Er. The XRD peak list is calculated, not measured: it uses the PBE geometry in Alexandria and Cu Ka.

Structural model:
```
CeHo2Er
1.0
4.9633 0.0000 0.0000
0.0000 4.9633 0.0000
0.0000 0.0000 4.9680
Ce Ho Er
1 2 1
Cartesian
0.0000 0.0000 0.0000
0.0000 2.4816 2.4840
2.4816 0.0000 2.4840
2.4816 2.4816 0.0000
```

Principal peaks in the range 2θ from 5° to 70°, low angle first:
| 2θ (°) | d [Å] | Rel. int. |
| --- | --- | --- |
| 31.20 | 2.866 | 100 |
| 36.19 | 2.482 | 51 |
| 52.10 | 1.755 | 36 |
| 61.99 | 1.497 | 42 |
| 65.08 | 1.433 | 12 |



Entry 6:
Diffraction record for Er3SnTe6. The XRD peak list is calculated, not measured: it uses the PBE geometry in Alexandria and Cu Ka.

Structural model:
```
Er3SnTe6
1.0
6.0062 -7.4699 0.0000
6.0062 7.4699 0.0000
0.0000 0.0000 7.4453
Er Sn Te
6 2 12
Cartesian
6.0062 6.0884 3.7226
3.7911 1.4488 4.4712
3.7911 -1.4488 0.7485
8.2214 1.4488 4.4712
8.2214 -1.4488 0.7485
6.0062 -6.0884 0.0000
6.0062 3.0494 1.0110
6.0062 -3.0494 4.7336
3.8242 4.1097 2.6167
1.9598 0.5522 2.2094
1.9598 -0.5522 5.9320
6.0062 3.3323 5.4594
8.1883 4.1097 2.6167
6.0062 0.4100 2.3382
6.0062 -0.4100 6.0608
3.8242 -4.1097 6.3393
6.0062 -3.3323 1.7367
10.0527 0.5522 2.2094
10.0527 -0.5522 5.9320
8.1883 -4.1097 6.3393
```

Principal peaks in the range 2θ from 5° to 70°, low angle first:
| 2θ (°) | d [Å] | Rel. int. |
| --- | --- | --- |
| 15.20 | 5.827 | 30 |
| 22.44 | 3.963 | 73 |
| 22.72 | 3.914 | 41 |
| 25.96 | 3.432 | 21 |
| 26.70 | 3.338 | 27 |
| 30.67 | 2.915 | 52 |
| 31.08 | 2.878 | 94 |
| 33.41 | 2.682 | 100 |
| 34.00 | 2.637 | 53 |
| 37.56 | 2.395 | 81 |
| 43.79 | 2.067 | 32 |
| 45.30 | 2.002 | 40 |